Record 1
For La2PmMn2N6, a GGA-PBE-relaxed structure gives the computed powder diffraction line list in this record (Cu Kα X-rays).

Most intense lines, 10 to 80 degrees two-theta, by angle:
| 2theta | I (rel.) |
| --- | --- |
| 18.84 | 16 |
| 26.57 | 19 |
| 30.32 | 100 |
| 31.83 | 88 |
| 44.53 | 40 |
| 52.90 | 19 |
| 55.77 | 35 |
| 56.71 | 17 |
| 72.39 | 14 |
| 74.82 | 14 |

Structure:
```
11
Lattice="2.812 1.623 6.173 -2.812 1.623 6.173 0.000 -3.247 6.173" Properties=species:S:1:pos:R:3 pbc="T T T"
La 0.000 0.000 3.896
La 0.000 0.000 14.622
Pm 0.000 0.000 0.000
Mn 0.000 0.000 7.517
Mn 0.000 0.000 11.001
N -1.394 -0.805 10.535
N 0.000 -1.609 7.983
N -1.394 0.805 7.983
N 1.394 -0.805 10.535
N 0.000 1.609 10.535
N 1.394 0.805 7.983
```

Record 2
For Nd3Ga3Ni2, a GGA-PBE-relaxed structure gives the computed powder diffraction line list in this record (Cu Kα X-rays).

Most intense lines, 10 to 80 degrees two-theta, by angle:
| 2theta | I (rel.) |
| --- | --- |
| 32.57 | 100 |
| 33.69 | 64 |
| 34.89 | 19 |
| 35.91 | 22 |
| 37.83 | 26 |
| 39.40 | 26 |
| 41.12 | 70 |
| 54.65 | 18 |
| 55.00 | 17 |
| 58.23 | 18 |

Structure:
```
16
Lattice="2.197 -5.143 0.000 2.197 5.143 0.000 0.000 0.000 15.005" Properties=species:S:1:pos:R:3 pbc="T T T"
Nd 2.197 4.240 9.113
Nd 2.197 4.240 13.394
Nd 2.197 1.254 11.254
Nd 2.197 -1.254 3.751
Nd 2.197 -4.240 1.610
Nd 2.197 -4.240 5.892
Ga 2.197 1.815 3.751
Ga 2.197 1.335 8.077
Ga 2.197 1.335 14.430
Ga 2.197 -1.335 0.575
Ga 2.197 -1.335 6.928
Ga 2.197 -1.815 11.254
Ni 2.197 3.036 1.518
Ni 2.197 3.036 5.984
Ni 2.197 -3.036 9.020
Ni 2.197 -3.036 13.487
```

Record 3
For BaDyGa2Au5, a GGA-PBE-relaxed structure gives the computed powder diffraction line list in this record (Cu Kα X-rays).

Most intense lines, 10 to 80 degrees two-theta, by angle:
| 2theta | I (rel.) |
| --- | --- |
| 26.92 | 45 |
| 30.22 | 41 |
| 32.18 | 95 |
| 35.56 | 100 |
| 39.57 | 18 |
| 47.34 | 48 |
| 48.31 | 22 |
| 51.17 | 36 |
| 60.59 | 23 |
| 61.75 | 30 |

Structure:
```
9
Lattice="5.049 0.000 0.000 0.000 5.049 0.000 0.000 0.000 8.872" Properties=species:S:1:pos:R:3 pbc="T T T"
Ba 0.000 0.000 0.000
Dy 0.000 0.000 4.436
Ga 2.525 2.525 2.578
Ga 2.525 2.525 6.295
Au 0.000 2.525 2.844
Au 0.000 2.525 6.028
Au 2.525 0.000 2.844
Au 2.525 0.000 6.028
Au 2.525 2.525 0.000
```

Record 4
For Ce6ErAs8, a GGA-PBE-relaxed structure gives the computed powder diffraction line list in this record (Cu Kα X-rays).

Most intense lines, 10 to 80 degrees two-theta, by angle:
| 2theta | I (rel.) |
| --- | --- |
| 12.95 | 12 |
| 24.94 | 6 |
| 26.07 | 11 |
| 30.19 | 100 |
| 43.22 | 75 |
| 51.17 | 5 |
| 53.63 | 26 |
| 62.78 | 12 |
| 71.23 | 33 |
| 79.27 | 25 |

Structure:
```
15
Lattice="0.000 5.920 5.920 5.920 0.000 5.920 5.920 5.920 0.000" Properties=species:S:1:pos:R:3 pbc="T T T"
Ce 2.960 2.960 0.000
Ce 2.960 0.000 2.960
Ce 5.920 2.960 2.960
Ce 0.000 2.960 2.960
Ce 2.960 5.920 2.960
Ce 2.960 2.960 5.920
Er 0.000 0.000 0.000
As 5.920 5.920 2.915
As 5.920 2.915 5.920
As 8.926 5.920 5.920
As 2.960 2.960 2.960
As 8.881 8.881 8.881
As 2.915 5.920 5.920
As 5.920 8.926 5.920
As 5.920 5.920 8.926
```